InSn2BiTe5: theoretical powder XRD pattern (a wavelength of 1.5418 Å), based on the GGA-PBE geometry in Alexandria.

Largest 10 diffraction maxima, by angle, 10° ≤ 2θ ≤ 80°:
d 3.680, 24.19°, I = 16
d 3.285, 27.15°, I = 47
d 3.184, 28.02°, I = 100
d 2.748, 32.58°, I = 32
d 2.523, 35.59°, I = 18
d 2.287, 39.40°, I = 19
d 2.200, 41.03°, I = 24
d 2.154, 41.95°, I = 20
d 1.999, 45.37°, I = 15
d 1.828, 49.90°, I = 18

Cell and atoms:
```
InSn2BiTe5
1.0
2.1997 -10.1283 0.0000
2.1997 10.1283 0.0000
0.0000 0.0000 14.2183
In Sn Bi Te
2 4 2 10
Cartesian
2.1997 9.1075 7.1091 In
2.1997 -9.1075 0.0000 In
2.1997 2.9639 10.5627 Sn
2.1997 2.5645 5.6795 Sn
2.1997 -2.5645 12.7886 Sn
2.1997 -2.9639 3.4536 Sn
2.1997 3.9824 1.3782 Bi
2.1997 -3.9824 8.4873 Bi
2.1997 9.5233 11.9576 Te
2.1997 7.0782 1.3299 Te
2.1997 6.3678 6.2339 Te
2.1997 5.9640 10.7753 Te
2.1997 0.7385 1.7654 Te
2.1997 -0.7385 8.8745 Te
2.1997 -5.9640 3.6662 Te
2.1997 -6.3678 13.3430 Te
2.1997 -7.0782 8.4390 Te
2.1997 -9.5233 4.8485 Te
```